No. 1
Simulated powder diffractogram of Zr5Sc3N8 for a wavelength of 1.5418 Å, from a GGA-PBE-relaxed structure.
Kinematic intensities with the Lorentz-polarization factor, no thermal factor.

The 12 most intense peaks (2θ from 5° to 70°), by angle:
hkl 0 0 3, 2θ = 16.8°, I = 15; hkl 0 1 2, 2θ = 19.4°, I = 3; hkl 1 1 0, 2θ = 27.6°, I = 2; hkl 0 2 1, 2θ = 32.4°, I = 10; hkl 2 0 2, 2θ = 33.9°, I = 99; hkl 0 2 4, 2θ = 39.4°, I = 100; hkl 2 0 5, 2θ = 43.0°, I = 5; hkl 0 0 9, 2θ = 51.8°, I = 3; hkl 2 2 0, 2θ = 56.9°, I = 62; hkl 2 2 3, 2θ = 59.8°, I = 3; hkl 2 2 6, 2θ = 67.9°, I = 30; hkl 0 4 2, 2θ = 68.0°, I = 10

Crystal structure
Lattice parameters (Å, degrees): 6.4700 6.4700 15.8866 90.00 90.00 120.00
Space group R-3m (No. 166, hexagonal axes)
Unique sites:
Zr1 0.0000 0.0000 0.0000 x3
Zr2 0.0000 0.0000 0.5000 x3
Zr3 0.0000 0.5000 0.0000 x9
Sc1 0.0000 0.5000 0.5000 x9
N1 0.0000 0.0000 0.2493 x6
N2 0.0021 0.5010 0.7510 x18


No. 2
Simulated powder diffractogram of Nd9Sm3Y2 for a wavelength of 1.5418 Å, from a GGA-PBE-relaxed structure.
Kinematic intensities with the Lorentz-polarization factor, no thermal factor.

The 12 most intense peaks (2θ from 5° to 70°), by angle:
hkl 0 0 4, 2θ = 25.3°, I = 30; hkl 1 1 3, 2θ = 27.3°, I = 14; hkl 2 0 3, 2θ = 29.5°, I = 39; hkl 2 1 1, 2θ = 30.6°, I = 67; hkl 1 1 4, 2θ = 32.1°, I = 15; hkl 2 1 2, 2θ = 32.6°, I = 100; hkl 1 0 5, 2θ = 33.8°, I = 21; hkl 2 1 3, 2θ = 35.6°, I = 28; hkl 2 1 5, 2θ = 44.2°, I = 12; hkl 1 3 5, 2θ = 52.9°, I = 17; hkl 1 4 0, 2θ = 53.1°, I = 29; hkl 1 4 4, 2θ = 59.7°, I = 17

Crystal structure
Lattice parameters (Å, degrees): 9.1296 9.1296 14.0753 90.00 90.00 120.00
Space group P6_3/m (No. 176)
Unique sites:
Nd1 0.0811 0.4807 0.2500 x6
Nd2 0.1319 0.7250 0.0427 x12
Sm1 0.0812 0.2502 0.7500 x6
Y1 0.3333 0.6667 0.6417 x4


No. 3
Simulated powder diffractogram of Ta3Mo for a wavelength of 1.5418 Å, from a GGA-PBE-relaxed structure.
Kinematic intensities with the Lorentz-polarization factor, no thermal factor.

The 12 most intense peaks (2θ from 5° to 70°), by angle:
hkl 0 0 1, 2θ = 9.5°, I = 4; hkl 0 1 0, 2θ = 19.2°, I = 2; hkl 0 1 1, 2θ = 21.5°, I = 1; hkl 1 0 1, 2θ = 29.0°, I = 1; hkl 1 0 2, 2θ = 33.5°, I = 1; hkl 0 1 3, 2θ = 34.9°, I = 1; hkl 1 1 1, 2θ = 35.0°, I = 1; hkl 0 0 4, 2θ = 38.7°, I = 25; hkl 1 1 2, 2θ = 38.9°, I = 100; hkl 0 2 0, 2θ = 39.0°, I = 25; hkl 0 2 4, 2θ = 56.2°, I = 17; hkl 2 0 0, 2θ = 56.3°, I = 9

Crystal structure
Lattice parameters (Å, degrees): 3.267 4.614 9.304 90.00 90.00 90.00
Space group Pmma (No. 51)
Unique sites:
Ta1 0.250 0.000 0.123 x2
Ta2 0.250 0.000 0.626 x2
Ta3 0.250 0.500 0.868 x2
Mo1 0.250 0.500 0.382 x2


No. 4
Simulated powder diffractogram of CeNd2S3 for a wavelength of 1.5418 Å, from a GGA-PBE-relaxed structure.
Kinematic intensities with the Lorentz-polarization factor, no thermal factor.

The 6 most intense peaks (2θ from 5° to 70°), by angle:
hkl 1 1 0, 2θ = 26.9°, I = 73; hkl 1 0 3, 2θ = 31.2°, I = 100; hkl 2 0 0, 2θ = 44.7°, I = 72; hkl 2 1 3, 2θ = 52.9°, I = 36; hkl 2 2 0, 2θ = 55.5°, I = 25; hkl 0 4 0, 2θ = 65.0°, I = 12

Crystal structure
Lattice parameters (Å, degrees): 4.052 5.739 12.172 90.00 90.00 90.00
Space group Immm (No. 71)
Unique sites:
Ce1 0.000 0.000 0.000 x2
Nd1 0.000 0.000 0.331 x4
S1 0.000 0.500 0.000 x2
S2 0.000 0.500 0.336 x4


No. 5
Simulated powder diffractogram of NdIn4Au12 for a wavelength of 1.5418 Å, from a GGA-PBE-relaxed structure.
Kinematic intensities with the Lorentz-polarization factor, no thermal factor.

The 12 most intense peaks (2θ from 5° to 70°), by angle:
hkl 3 1 0, 2θ = 30.1°, I = 100; hkl 3 2 1, 2θ = 35.8°, I = 33; hkl 3 3 0, 2θ = 40.8°, I = 4; hkl 4 0 2, 2θ = 43.1°, I = 22; hkl 3 3 2, 2θ = 45.4°, I = 5; hkl 4 2 2, 2θ = 47.5°, I = 17; hkl 4 1 3, 2θ = 49.6°, I = 45; hkl 5 0 3, 2θ = 57.3°, I = 8; hkl 6 0 0, 2θ = 59.1°, I = 9; hkl 6 2 0, 2θ = 62.7°, I = 5; hkl 6 3 1, 2θ = 67.8°, I = 13; hkl 4 4 4, 2θ = 69.4°, I = 9

Crystal structure
Lattice parameters (Å, degrees): 9.377 9.377 9.377 90.00 90.00 90.00
Space group Im-3 (No. 204)
Unique sites:
Nd1 0.000 0.000 0.000 x2
In1 0.250 0.250 0.250 x8
Au1 0.000 0.145 0.350 x24


No. 6
Simulated powder diffractogram of Li3Zn5 for a wavelength of 1.5418 Å, from a GGA-PBE-relaxed structure.
Kinematic intensities with the Lorentz-polarization factor, no thermal factor.

The 12 most intense peaks (2θ from 5° to 70°), by angle:
hkl 1 1 0, 2θ = 17.8°, I = 8; hkl 2 0 0, 2θ = 20.3°, I = 11; hkl 1 1 2, 2θ = 27.1°, I = 17; hkl 2 0 2, 2θ = 28.8°, I = 41; hkl 0 2 0, 2θ = 29.6°, I = 18; hkl 3 1 2, 2θ = 40.0°, I = 6; hkl 0 0 4, 2θ = 41.2°, I = 53; hkl 2 2 2, 2θ = 41.8°, I = 100; hkl 1 3 0, 2θ = 46.3°, I = 6; hkl 4 2 0, 2θ = 51.6°, I = 15; hkl 4 0 4, 2θ = 59.7°, I = 17; hkl 0 4 0, 2θ = 61.5°, I = 7

Crystal structure
Lattice parameters (Å, degrees): 8.762 6.034 8.764 90.00 90.00 90.00
Space group Cmcm (No. 63)
Unique sites:
Li1 0.000 0.006 0.250 x4
Li2 0.237 0.500 0.000 x8
Zn1 0.000 0.229 0.503 x8
Zn2 0.000 0.495 0.250 x4
Zn3 0.247 0.249 0.750 x8


No. 7
Simulated powder diffractogram of InCuPt6 for a wavelength of 1.5418 Å, from a GGA-PBE-relaxed structure.
Kinematic intensities with the Lorentz-polarization factor, no thermal factor.

The 12 most intense peaks (2θ from 5° to 70°), by angle:
hkl 1 0 0, 2θ = 22.2°, I = 5; hkl 0 0 2, 2θ = 22.5°, I = 2; hkl 1 1 0, 2θ = 31.7°, I = 2; hkl 1 0 2, 2θ = 31.9°, I = 4; hkl 1 1 2, 2θ = 39.2°, I = 100; hkl 2 0 0, 2θ = 45.4°, I = 33; hkl 0 0 4, 2θ = 46.0°, I = 15; hkl 2 1 0, 2θ = 51.1°, I = 1; hkl 2 1 2, 2θ = 56.5°, I = 2; hkl 2 2 0, 2θ = 66.1°, I = 11; hkl 2 0 4, 2θ = 66.6°, I = 21; hkl 1 1 5, 2θ = 68.0°, I = 1

Crystal structure
Lattice parameters (Å, degrees): 3.996 3.996 7.896 90.00 90.00 90.00
Space group P4/mmm (No. 123)
Unique sites:
In1 0.000 0.000 0.000 x1
Cu1 0.000 0.000 0.500 x1
Pt1 0.000 0.500 0.261 x4
Pt2 0.500 0.500 0.000 x1
Pt3 0.500 0.500 0.500 x1


No. 8
Simulated powder diffractogram of Na5CeO4 for a wavelength of 1.5418 Å, from a GGA-PBE-relaxed structure.
Kinematic intensities with the Lorentz-polarization factor, no thermal factor.

The 12 most intense peaks (2θ from 5° to 70°), by angle:
hkl 2 0 0, 2θ = 12.4°, I = 71; hkl 0 0 1, 2θ = 13.1°, I = 100; hkl 2 0 -1, 2θ = 16.3°, I = 31; hkl 1 1 0, 2θ = 25.8°, I = 14; hkl 1 1 -1, 2θ = 28.5°, I = 18; hkl 2 0 2, 2θ = 31.2°, I = 15; hkl 3 1 0, 2θ = 31.4°, I = 32; hkl 4 0 -2, 2θ = 33.0°, I = 14; hkl 1 1 -2, 2θ = 36.4°, I = 58; hkl 6 0 0, 2θ = 37.7°, I = 30; hkl 5 1 2, 2θ = 52.2°, I = 17; hkl 7 1 -2, 2θ = 54.6°, I = 19

Crystal structure
Lattice parameters (Å, degrees): 14.545 3.552 6.878 90.00 100.35 90.00
Space group C2/m (No. 12)
Unique sites:
Na1 0.000 0.000 0.000 x2
Na2 0.161 0.500 0.799 x4
Na3 0.177 0.500 0.365 x4
Ce1 0.000 0.000 0.500 x2
O1 0.005 0.500 0.276 x4
O2 0.153 0.000 0.575 x4


No. 9
Simulated powder diffractogram of Nd2Sb4Ir3 for a wavelength of 1.5418 Å, from a GGA-PBE-relaxed structure.
Kinematic intensities with the Lorentz-polarization factor, no thermal factor.

The 12 most intense peaks (2θ from 5° to 70°), by angle:
hkl 2 0 2, 2θ = 19.4°, I = 12; hkl 4 1 1, 2θ = 30.4°, I = 47; hkl 2 1 3, 2θ = 33.0°, I = 100; hkl 5 1 1, 2θ = 34.7°, I = 15; hkl 6 0 2, 2θ = 36.8°, I = 43; hkl 0 2 0, 2θ = 39.3°, I = 48; hkl 5 1 3, 2θ = 41.9°, I = 13; hkl 4 1 4, 2θ = 44.2°, I = 11; hkl 0 1 5, 2θ = 45.5°, I = 15; hkl 4 1 5, 2θ = 51.0°, I = 11; hkl 6 2 2, 2θ = 54.9°, I = 27; hkl 2 3 3, 2θ = 67.3°, I = 13

Crystal structure
Lattice parameters (Å, degrees): 16.307 4.586 11.080 90.00 90.00 90.00
Space group Pnma (No. 62)
Unique sites:
Nd1 0.006 0.250 0.248 x4
Nd2 0.248 0.750 0.589 x4
Sb1 0.068 0.750 0.447 x4
Sb2 0.106 0.750 0.062 x4
Sb3 0.150 0.250 0.775 x4
Sb4 0.211 0.250 0.386 x4
Ir1 0.056 0.250 0.966 x4
Ir2 0.093 0.250 0.556 x4
Ir3 0.181 0.750 0.276 x4


No. 10
Simulated powder diffractogram of Ca3Ga2HgAu9 for a wavelength of 1.5418 Å, from a GGA-PBE-relaxed structure.
Kinematic intensities with the Lorentz-polarization factor, no thermal factor.

The 12 most intense peaks (2θ from 5° to 70°), by angle:
hkl 0 0 1, 2θ = 8.3°, I = 24; hkl 1 0 0, 2θ = 15.6°, I = 20; hkl 1 0 1, 2θ = 17.7°, I = 71; hkl 0 2 1, 2θ = 32.7°, I = 60; hkl 0 0 4, 2θ = 33.6°, I = 30; hkl 2 0 2, 2θ = 35.9°, I = 100; hkl 1 1 3, 2θ = 37.3°, I = 24; hkl 2 0 3, 2θ = 40.7°, I = 29; hkl 2 1 1, 2θ = 43.0°, I = 25; hkl 0 2 5, 2θ = 53.7°, I = 18; hkl 2 2 0, 2θ = 56.2°, I = 24; hkl 2 2 4, 2θ = 67.1°, I = 18

Crystal structure
Lattice parameters (Å, degrees): 6.5484 6.5484 10.6755 90.00 90.00 120.00
Space group P-3m1 (No. 164)
Unique sites:
Ca1 0.0000 0.0000 0.0000 x1
Ca2 0.3333 0.6667 0.7616 x2
Ga1 0.3333 0.6667 0.1669 x2
Hg1 0.0000 0.0000 0.5000 x1
Au1 0.0000 0.5000 0.0000 x3
Au2 0.1418 0.2836 0.2757 x6


No. 11
Simulated powder diffractogram of CaAc2NdHg4 for a wavelength of 1.5418 Å, from a GGA-PBE-relaxed structure.
Kinematic intensities with the Lorentz-polarization factor, no thermal factor.

The 12 most intense peaks (2θ from 5° to 70°), by angle:
hkl 0 0 3, 2θ = 9.7°, I = 1; hkl 1 0 1, 2θ = 18.6°, I = 1; hkl 0 0 6, 2θ = 19.5°, I = 7; hkl 1 0 4, 2θ = 22.5°, I = 2; hkl 1 1 0, 2θ = 32.1°, I = 100; hkl 1 1 6, 2θ = 37.8°, I = 4; hkl 2 0 8, 2θ = 46.0°, I = 19; hkl 1 2 2, 2θ = 50.4°, I = 2; hkl 1 1 12, 2θ = 51.8°, I = 1; hkl 3 0 0, 2θ = 57.2°, I = 39; hkl 3 0 6, 2θ = 61.0°, I = 1; hkl 2 2 0, 2θ = 67.1°, I = 12

Crystal structure
Lattice parameters (Å, degrees): 5.5817 5.5817 27.3067 90.00 90.00 120.00
Space group R-3m (No. 166, hexagonal axes)
Unique sites:
Ca1 0.0000 0.0000 0.0000 x3
Ac1 0.0000 0.0000 0.2517 x6
Nd1 0.0000 0.0000 0.5000 x3
Hg1 0.0000 0.0000 0.1259 x6
Hg2 0.0000 0.0000 0.3760 x6


No. 12
Simulated powder diffractogram of Nd3Sm2Dy6 for a wavelength of 1.5418 Å, from a GGA-PBE-relaxed structure.
Kinematic intensities with the Lorentz-polarization factor, no thermal factor.

The 12 most intense peaks (2θ from 5° to 70°), by angle:
hkl 1 1 0, 2θ = 26.4°, I = 14; hkl 1 1 4, 2θ = 28.5°, I = 100; hkl 1 0 9, 2θ = 30.6°, I = 23; hkl 1 1 6, 2θ = 31.0°, I = 13; hkl 0 0 12, 2θ = 32.3°, I = 21; hkl 1 1 8, 2θ = 34.2°, I = 79; hkl 2 0 0, 2θ = 37.6°, I = 61; hkl 2 0 12, 2θ = 50.4°, I = 25; hkl 2 2 0, 2θ = 54.3°, I = 21; hkl 1 1 20, 2θ = 62.2°, I = 20; hkl 3 1 4, 2θ = 62.4°, I = 22; hkl 3 1 8, 2θ = 65.7°, I = 24

Crystal structure
Lattice parameters (Å, degrees): 4.782 4.782 33.275 90.00 90.00 90.00
Space group I4/mmm (No. 139)
Unique sites:
Nd1 0.000 0.000 0.000 x2
Nd2 0.000 0.000 0.203 x4
Sm1 0.000 0.000 0.454 x4
Dy1 0.000 0.000 0.307 x4
Dy2 0.000 0.500 0.120 x8


What did the eighth record say?
Simulated powder diffractogram of Na5CeO4 for a wavelength of 1.5418 Å, from a GGA-PBE-relaxed structure.
Kinematic intensities with the Lorentz-polarization factor, no thermal factor.

The 12 most intense peaks (2θ from 5° to 70°), by angle:
hkl 2 0 0, 2θ = 12.4°, I = 71; hkl 0 0 1, 2θ = 13.1°, I = 100; hkl 2 0 -1, 2θ = 16.3°, I = 31; hkl 1 1 0, 2θ = 25.8°, I = 14; hkl 1 1 -1, 2θ = 28.5°, I = 18; hkl 2 0 2, 2θ = 31.2°, I = 15; hkl 3 1 0, 2θ = 31.4°, I = 32; hkl 4 0 -2, 2θ = 33.0°, I = 14; hkl 1 1 -2, 2θ = 36.4°, I = 58; hkl 6 0 0, 2θ = 37.7°, I = 30; hkl 5 1 2, 2θ = 52.2°, I = 17; hkl 7 1 -2, 2θ = 54.6°, I = 19

Crystal structure
Lattice parameters (Å, degrees): 14.545 3.552 6.878 90.00 100.35 90.00
Space group C2/m (No. 12)
Unique sites:
Na1 0.000 0.000 0.000 x2
Na2 0.161 0.500 0.799 x4
Na3 0.177 0.500 0.365 x4
Ce1 0.000 0.000 0.500 x2
O1 0.005 0.500 0.276 x4
O2 0.153 0.000 0.575 x4